1.
Theoretical XRD peak list
Compound: CdIn14Ag
Radiation: CuKα
Structure: the PBE geometry in Alexandria

Atomic structure:
```
16
Lattice="4.933 -4.950 0.000 4.933 4.950 0.000 0.000 0.000 8.564" Properties=species:S:1:pos:R:3 pbc="T T T"
Cd 0.000 0.000 0.000
In 0.000 0.000 4.282
In 2.466 2.475 0.000
In 2.466 2.475 4.282
In 2.510 0.000 2.048
In 2.510 0.000 6.515
In 4.933 2.437 2.061
In 4.933 2.437 6.503
In 2.466 -2.475 0.000
In 2.466 -2.475 4.282
In 4.933 0.000 4.282
In 4.933 -2.437 2.061
In 4.933 -2.437 6.503
In 7.356 0.000 2.048
In 7.356 0.000 6.515
Ag 4.933 0.000 0.000
```

Largest 6 diffraction maxima, in order of falling intensity, 10° ≤ 2θ ≤ 90°:
| 2theta | I (rel.) |
| --- | --- |
| 33.09 | 1000 |
| 56.91 | 197 |
| 36.30 | 195 |
| 36.43 | 193 |
| 63.28 | 145 |
| 63.45 | 143 |

2.
Theoretical XRD peak list
Compound: AuI2
Radiation: CuKα
Structure: the PBE geometry in Alexandria

Atomic structure:
```
6
Lattice="4.278 0.000 0.000 0.000 4.278 0.000 0.000 0.000 14.565" Properties=species:S:1:pos:R:3 pbc="T T T"
Au 0.000 0.000 3.641
Au 0.000 0.000 10.924
I 0.000 2.139 1.933
I 0.000 2.139 12.633
I 2.139 0.000 5.350
I 2.139 0.000 9.215
```

Largest 6 diffraction maxima, in order of falling intensity, 10° ≤ 2θ ≤ 90°:
| 2theta | I (rel.) |
| --- | --- |
| 38.70 | 1000 |
| 12.15 | 981 |
| 24.13 | 668 |
| 21.65 | 654 |
| 27.79 | 498 |
| 20.76 | 475 |